Entry 1:
Diffraction record for Ho2MnGe4O12. The powder XRD pattern is calculated, not measured: it uses a GGA+U-relaxed structure and Cu Kα X-rays.
Lines closer than 0.1° are merged.

Largest 6 diffraction maxima, in order of rising 2θ, 2θ from 5° to 70°:
2θ (°)	I_rel
12.56	48
21.73	65
30.80	100
31.01	95
35.87	47
51.56	53

Structural model:
Lattice parameters (Å, degrees): 10.014 10.014 5.020 90.00 90.00 90.57
Atoms (fractional coordinates):
Ho: 0.000 0.500 0.000
Ho: 0.250 0.250 0.000
Ho: 0.500 0.000 0.000
Ho: 0.750 0.750 0.000
Mn: 0.000 0.000 0.000
Mn: 0.500 0.500 0.000
Ge: 0.021 0.753 0.504
Ge: 0.247 0.979 0.504
Ge: 0.253 0.521 0.504
Ge: 0.479 0.747 0.504
Ge: 0.521 0.253 0.496
Ge: 0.747 0.479 0.496
Ge: 0.753 0.021 0.496
Ge: 0.979 0.247 0.496
O: 0.063 0.330 0.754
O: 0.064 0.169 0.239
O: 0.128 0.628 0.669
O: 0.131 0.869 0.331
O: 0.169 0.064 0.761
O: 0.170 0.437 0.246
O: 0.330 0.063 0.246
O: 0.331 0.436 0.761
O: 0.369 0.631 0.331
O: 0.372 0.872 0.669
O: 0.436 0.331 0.239
O: 0.437 0.170 0.754
O: 0.563 0.830 0.246
O: 0.564 0.669 0.761
O: 0.628 0.128 0.331
O: 0.631 0.369 0.669
O: 0.669 0.564 0.239
O: 0.670 0.937 0.754
O: 0.830 0.563 0.754
O: 0.831 0.936 0.239
O: 0.869 0.131 0.669
O: 0.872 0.372 0.331
O: 0.936 0.831 0.761
O: 0.937 0.670 0.246

Entry 2:
Diffraction record for Na3CoO3. The powder XRD pattern is calculated, not measured: it uses a GGA+U-relaxed structure and Cu Kα X-rays.
Lines closer than 0.1° are merged.

Largest 6 diffraction maxima, in order of rising 2θ, 2θ from 5° to 70°:
2θ (°)	I_rel
17.40	100
21.59	51
33.65	93
34.29	87
35.08	53
40.30	77

Structural model:
Lattice parameters (Å, degrees): 6.678 6.005 9.667 90.00 93.67 90.00
Atoms (fractional coordinates):
Na: 0.080 0.140 0.151
Na: 0.080 0.360 0.651
Na: 0.353 0.719 0.809
Na: 0.353 0.781 0.309
Na: 0.370 0.203 0.920
Na: 0.370 0.297 0.420
Na: 0.630 0.703 0.580
Na: 0.630 0.797 0.080
Na: 0.647 0.219 0.691
Na: 0.647 0.281 0.191
Na: 0.920 0.640 0.349
Na: 0.920 0.860 0.849
Co: 0.176 0.598 0.064
Co: 0.176 0.902 0.564
Co: 0.824 0.098 0.436
Co: 0.824 0.402 0.936
O: 0.100 0.035 0.383
O: 0.100 0.465 0.883
O: 0.258 0.622 0.527
O: 0.258 0.878 0.027
O: 0.341 0.068 0.678
O: 0.341 0.432 0.178
O: 0.659 0.568 0.822
O: 0.659 0.932 0.322
O: 0.742 0.122 0.973
O: 0.742 0.378 0.473
O: 0.900 0.535 0.117
O: 0.900 0.965 0.617